No. 1
Diffraction record for Li4CuP2O8. The X-ray diffraction stick pattern is calculated, not measured: it uses a PBE-relaxed structure and Cu Kα (weighted mean of Kα1 and Kα2).

Most intense lines, 2θ = 10–90°, by intensity:
d/Å	2theta	I_rel
4.259	20.86	1000
5.248	16.90	453
3.478	25.61	450
3.281	27.18	380
2.563	35.01	366
2.534	35.43	319
2.421	37.14	264
6.075	14.58	216

Structural model:
a b c (Å): 4.6792 5.4530 6.1405
angles (deg): 96.49 93.54 103.87
Space group P-1 (No. 2)
Symmetry-distinct sites (fractional):
Li  0.1533  0.2850  0.0768 x2
Li  0.2911  0.5775  0.6703 x2
Cu  0.0000  0.0000  0.5000 x1
P  0.3851  0.7876  0.2188 x2
O  0.2392  0.5738  0.3541 x2
O  0.2684  0.6997  0.9756 x2
O  0.2714  0.1814  0.7624 x2
O  0.3160  0.0479  0.3022 x2

No. 2
Diffraction record for LiCu5P2O8. The X-ray diffraction stick pattern is calculated, not measured: it uses a PBE-relaxed structure and Cu Kα (weighted mean of Kα1 and Kα2).

Most intense lines, 2θ = 10–90°, by intensity:
d/Å	2theta	I_rel
2.574	34.86	1000
2.720	32.93	897
5.688	15.58	746
2.422	37.12	744
6.195	14.30	592
2.388	37.66	441
2.528	35.52	391
1.854	49.14	331

Structural model:
a b c (Å): 5.1505 6.1951 5.6917
angles (deg): 90.00 92.03 90.00
Space group Pm (No. 6)
Symmetry-distinct sites (fractional):
Li  0.0000  0.0000  0.0000 x1
Cu  0.4687  0.5000  0.5824 x1
Cu  0.5150  0.2608  0.2235 x2
Cu  0.9486  0.2966  0.5015 x2
P  0.0112  0.5000  0.0289 x1
P  0.4903  0.0000  0.7056 x1
O  0.3110  0.5000  0.0267 x1
O  0.3744  0.1978  0.5624 x2
O  0.3843  0.0000  0.9583 x1
O  0.7912  0.0000  0.7044 x1
O  0.8901  0.5000  0.7751 x1
O  0.9131  0.2875  0.1503 x2